(1)
This entry pairs a crystal structure of Ho4P6Rh7 with its computed powder diffractogram. Radiation: copper Kα. Structure: DFT lattice parameters and positions (GGA-PBE).

```
Ho4P6Rh7
1.0
-4.089 4.089 4.089
4.089 -4.089 4.089
4.089 4.089 -4.089
Ho P Rh
4 6 7
Cartesian
2.045 2.045 -2.045
2.045 -2.045 2.045
-2.045 2.045 2.045
2.045 2.045 2.045
2.645 0.000 0.000
5.533 0.000 0.000
0.000 2.645 0.000
0.000 0.000 2.645
0.000 5.533 0.000
0.000 0.000 5.533
0.000 0.000 0.000
4.089 2.045 0.000
4.089 0.000 2.045
2.045 4.089 0.000
2.045 0.000 4.089
0.000 4.089 2.045
0.000 2.045 4.089
```

Most intense lines, 2θ = 10–90°, low angle first:
26.70°, 3.339 Å, I = 23; 30.93°, 2.892 Å, I = 45; 38.12°, 2.361 Å, I = 100; 41.30°, 2.186 Å, I = 28; 44.30°, 2.045 Å, I = 66; 52.48°, 1.744 Å, I = 11; 55.00°, 1.669 Å, I = 13; 64.45°, 1.446 Å, I = 38; 77.40°, 1.233 Å, I = 32; 81.55°, 1.180 Å, I = 12

***

(2)
This entry pairs a crystal structure of HoPRh with its computed powder diffractogram. Radiation: copper Kα. Structure: DFT lattice parameters and positions (GGA-PBE).

```
HoPRh
1.0
6.763 0.000 0.000
0.000 3.887 0.000
-0.197 0.000 11.747
Ho P Rh
6 6 6
Cartesian
0.174 0.972 1.427
0.940 0.972 4.931
3.022 2.915 9.296
3.543 0.972 2.450
5.626 2.915 6.816
6.391 2.915 10.320
1.533 2.915 2.948
1.648 0.972 10.887
1.768 2.915 6.819
4.797 0.972 4.928
4.917 2.915 0.859
5.033 0.972 8.799
0.767 0.972 8.286
2.353 2.915 0.449
3.220 0.972 6.929
3.345 2.915 4.818
4.213 0.972 11.298
5.799 2.915 3.461
```

Most intense lines, 2θ = 10–90°, low angle first:
27.49°, 3.244 Å, I = 27; 34.98°, 2.565 Å, I = 81; 35.18°, 2.551 Å, I = 62; 35.30°, 2.542 Å, I = 100; 38.29°, 2.351 Å, I = 39; 38.42°, 2.343 Å, I = 42; 38.66°, 2.329 Å, I = 46; 40.36°, 2.235 Å, I = 35; 40.89°, 2.207 Å, I = 50; 46.74°, 1.944 Å, I = 52

***

(3)
This entry pairs a crystal structure of Ho2PRh3 with its computed powder diffractogram. Radiation: copper Kα. Structure: DFT lattice parameters and positions (GGA-PBE).

```
Ho2PRh3
1.0
2.766 1.597 3.856
-2.766 1.597 3.856
0.000 -3.194 3.856
Ho P Rh
2 1 3
Cartesian
0.000 0.000 1.483
0.000 0.000 10.086
0.000 0.000 5.784
-1.383 -0.798 3.856
-1.383 0.798 7.713
0.000 1.597 3.856
```

Most intense lines, 2θ = 10–90°, low angle first:
32.37°, 2.766 Å, I = 38; 36.28°, 2.476 Å, I = 71; 38.37°, 2.346 Å, I = 100; 40.12°, 2.248 Å, I = 97; 40.77°, 2.213 Å, I = 36; 43.43°, 2.084 Å, I = 31; 60.30°, 1.535 Å, I = 33; 63.00°, 1.475 Å, I = 25; 67.75°, 1.383 Å, I = 36; 77.03°, 1.238 Å, I = 22

***

(4)
This entry pairs a crystal structure of Ho2P7Rh12 with its computed powder diffractogram. Radiation: copper Kα. Structure: DFT lattice parameters and positions (GGA-PBE).

```
Ho2P7Rh12
1.0
9.593 0.000 0.000
-4.796 8.308 0.000
0.000 0.000 3.866
Ho P Rh
2 7 12
Cartesian
0.000 5.538 0.961
4.796 2.769 2.905
0.000 0.000 0.000
-0.799 3.371 2.881
-1.477 7.314 2.881
2.520 2.378 0.985
2.277 5.930 2.881
6.273 0.993 0.985
5.596 4.936 0.985
-2.309 5.135 2.897
-3.010 7.051 0.964
0.195 2.175 0.964
1.981 0.919 2.901
1.504 3.741 2.897
3.991 0.568 0.969
0.805 7.740 2.897
3.292 4.567 0.969
2.815 7.389 0.964
4.602 6.132 2.901
7.806 1.256 2.901
7.105 3.173 0.969
```

Most intense lines, 2θ = 10–90°, low angle first:
28.43°, 3.140 Å, I = 14; 36.88°, 2.437 Å, I = 100; 37.50°, 2.398 Å, I = 9; 45.85°, 1.979 Å, I = 7; 47.01°, 1.933 Å, I = 15; 47.72°, 1.906 Å, I = 7; 50.33°, 1.813 Å, I = 18; 64.01°, 1.455 Å, I = 8; 71.33°, 1.322 Å, I = 12; 80.59°, 1.192 Å, I = 10

***

(5)
This entry pairs a crystal structure of HoP2RuRh with its computed powder diffractogram. Radiation: copper Kα. Structure: DFT lattice parameters and positions (GGA-PBE).

```
HoP2RuRh
1.0
-1.999 1.999 4.858
1.999 -1.999 4.858
1.999 1.999 -4.858
Ho P Ru Rh
1 2 1 1
Cartesian
0.000 0.000 0.000
0.000 0.000 3.722
0.000 0.000 5.994
1.999 0.000 2.429
0.000 1.999 2.429
```

Most intense lines, 2θ = 10–90°, low angle first:
24.07°, 3.698 Å, I = 27; 35.68°, 2.517 Å, I = 30; 36.78°, 2.444 Å, I = 100; 37.01°, 2.429 Å, I = 17; 45.36°, 1.999 Å, I = 36; 52.35°, 1.748 Å, I = 12; 59.01°, 1.565 Å, I = 14; 59.92°, 1.544 Å, I = 17; 66.55°, 1.405 Å, I = 15; 78.10°, 1.224 Å, I = 22

***

(6)
This entry pairs a crystal structure of Ho3SnP2Rh9 with its computed powder diffractogram. Radiation: copper Kα. Structure: DFT lattice parameters and positions (GGA-PBE).

```
Ho3SnP2Rh9
1.0
6.054 0.000 0.000
-3.027 5.243 0.000
0.000 0.000 9.283
Ho Sn P Rh
3 1 2 9
Cartesian
0.000 0.000 0.000
0.000 3.496 6.791
3.027 1.748 2.492
0.000 0.000 4.641
0.000 3.496 1.482
3.027 1.748 7.801
-1.514 2.622 0.000
0.000 1.567 2.474
-1.670 4.460 2.474
1.357 0.783 6.809
3.027 0.000 0.000
1.514 2.622 0.000
1.670 4.460 2.474
4.698 0.783 6.809
3.027 3.677 6.809
```

Most intense lines, 2θ = 10–90°, low angle first:
29.51°, 3.027 Å, I = 13; 35.58°, 2.523 Å, I = 82; 38.80°, 2.321 Å, I = 30; 39.48°, 2.283 Å, I = 100; 45.34°, 2.000 Å, I = 37; 50.05°, 1.823 Å, I = 14; 61.21°, 1.514 Å, I = 47; 70.70°, 1.332 Å, I = 17; 74.90°, 1.268 Å, I = 23; 75.34°, 1.261 Å, I = 14

***

(7)
This entry pairs a crystal structure of HoSnP2Rh5 with its computed powder diffractogram. Radiation: copper Kα. Structure: DFT lattice parameters and positions (GGA-PBE).

```
HoSnP2Rh5
1.0
4.044 0.000 0.000
0.000 4.044 0.000
0.000 0.000 8.633
Ho Sn P Rh
1 1 2 5
Cartesian
0.000 0.000 0.000
0.000 0.000 4.316
2.022 2.022 1.168
2.022 2.022 7.465
0.000 2.022 2.274
0.000 2.022 6.359
2.022 0.000 2.274
2.022 0.000 6.359
2.022 2.022 4.316
```

Most intense lines, 2θ = 10–90°, low angle first:
30.29°, 2.951 Å, I = 10; 37.74°, 2.384 Å, I = 100; 38.39°, 2.345 Å, I = 6; 41.86°, 2.158 Å, I = 16; 44.82°, 2.022 Å, I = 36; 62.99°, 1.476 Å, I = 19; 65.26°, 1.430 Å, I = 12; 73.71°, 1.285 Å, I = 14; 77.91°, 1.226 Å, I = 24; 80.60°, 1.192 Å, I = 9

***

(8)
This entry pairs a crystal structure of HoTcP2Rh with its computed powder diffractogram. Radiation: copper Kα. Structure: DFT lattice parameters and positions (GGA-PBE).

```
HoTcP2Rh
1.0
-2.034 2.034 4.808
2.034 -2.034 4.808
2.034 2.034 -4.808
Ho Tc P Rh
1 1 2 1
Cartesian
0.000 0.000 0.000
0.000 2.034 2.404
0.000 0.000 3.624
0.000 0.000 5.991
2.034 0.000 2.404
```

Most intense lines, 2θ = 10–90°, low angle first:
23.75°, 3.746 Å, I = 29; 35.66°, 2.518 Å, I = 32; 36.40°, 2.468 Å, I = 100; 37.41°, 2.404 Å, I = 16; 44.55°, 2.034 Å, I = 38; 58.32°, 1.582 Å, I = 15; 59.54°, 1.553 Å, I = 17; 64.83°, 1.438 Å, I = 12; 66.83°, 1.400 Å, I = 16; 76.69°, 1.243 Å, I = 22